This entry pairs a crystal structure of Rb2LiSnSe4 with its computed PXRD pattern. Radiation: Cu Kα (λ = 1.5418 Å). Structure: a GGA-PBE-relaxed structure.
Peak positions follow from Bragg's law for the DFT cell and can differ from measured ones.

Peak list (12 most intense, 2θ = 10–90°, by intensity)
two_theta	I_rel
26.89	100.0
32.67	82.4
16.17	39.7
30.36	34.1
50.50	29.4
44.55	26.1
48.91	20.1
46.67	18.0
34.04	17.4
21.34	15.2
39.35	14.9
77.01	13.8

Structural model:
Cell lengths 6.9236, 6.9236, 6.9236 Å; angles 106.06, 106.06, 116.53 degrees
Positions (direct):
Rb1 0.0000 0.5000 0.5000
Rb2 0.5000 0.0000 0.5000
Li1 0.0000 0.0000 0.0000
Sn1 0.5000 0.5000 0.0000
Se1 0.1025 0.1025 0.6764
Se2 0.4261 0.4261 0.3236
Se3 0.5739 0.8975 0.0000
Se4 0.8975 0.5739 0.0000



This entry pairs a crystal structure of Cd4PdAu4 with its computed PXRD pattern. Radiation: Cu Kα (λ = 1.5418 Å). Structure: a GGA-PBE-relaxed structure.
Peak positions follow from Bragg's law for the DFT cell and can differ from measured ones.

Peak list (12 most intense, 2θ = 10–90°, by intensity)
two_theta	I_rel
37.59	100.0
29.98	96.5
34.75	88.0
51.62	55.9
66.99	39.0
36.00	37.9
42.91	37.2
42.08	29.9
41.00	27.2
65.17	22.2
77.33	21.5
21.08	21.0

Structural model:
Cell lengths 8.4303, 8.4303, 5.4236 Å; angles 90.00, 90.00, 90.00 degrees
Positions (direct):
Cd1 0.0310 0.7500 0.1030
Cd2 0.2500 0.5310 0.3970
Cd3 0.2500 0.9690 0.3970
Cd4 0.4690 0.7500 0.1030
Cd5 0.5310 0.2500 0.8970
Cd6 0.7500 0.0310 0.6030
Cd7 0.7500 0.4690 0.6030
Cd8 0.9690 0.2500 0.8970
Pd1 0.2500 0.7500 0.7500
Pd2 0.7500 0.2500 0.2500
Au1 0.0665 0.2500 0.4056
Au2 0.2500 0.0665 0.9056
Au3 0.2500 0.4335 0.9056
Au4 0.4335 0.2500 0.4056
Au5 0.5665 0.7500 0.5944
Au6 0.7500 0.5665 0.0944
Au7 0.7500 0.9335 0.0944
Au8 0.9335 0.7500 0.5944



This entry pairs a crystal structure of LiIr2Os with its computed PXRD pattern. Radiation: Cu Kα (λ = 1.5418 Å). Structure: a GGA-PBE-relaxed structure.
Peak positions follow from Bragg's law for the DFT cell and can differ from measured ones.

Peak list (12 most intense, 2θ = 10–90°, by intensity)
two_theta	I_rel
40.37	100.0
41.73	87.6
48.41	57.5
69.37	39.7
17.06	34.6
46.48	33.6
28.58	32.2
83.97	24.2
22.76	22.1
86.66	20.0
37.27	16.1
82.01	13.3

Structural model:
Cell lengths 2.7233, 3.9075, 5.1987 Å; angles 90.00, 90.00, 90.00 degrees
Positions (direct):
Li1 0.0000 0.0000 0.0000
Ir1 0.0000 0.0000 0.4956
Ir2 0.5000 0.5000 0.7845
Os1 0.5000 0.5000 0.2669



This entry pairs a crystal structure of SnHgAs with its computed PXRD pattern. Radiation: Cu Kα (λ = 1.5418 Å). Structure: a GGA-PBE-relaxed structure.
Peak positions follow from Bragg's law for the DFT cell and can differ from measured ones.

Peak list (12 most intense, 2θ = 10–90°, by intensity)
two_theta	I_rel
26.94	100.0
44.17	52.4
26.74	46.3
42.58	36.9
35.13	33.0
44.01	21.4
34.82	19.4
42.85	17.7
31.71	17.0
52.39	16.8
21.65	16.4
14.39	16.3

Structural model:
Cell lengths 4.0976, 4.1027, 12.5270 Å; angles 81.11, 80.64, 60.24 degrees
Positions (direct):
Sn1 0.1296 0.1381 0.1020
Sn2 0.8704 0.8619 0.8980
Hg1 0.3569 0.3498 0.4277
Hg2 0.6431 0.6502 0.5723
As1 0.4270 0.4407 0.2077
As2 0.5730 0.5593 0.7923



This entry pairs a crystal structure of Ga2HgAsO6 with its computed PXRD pattern. Radiation: Cu Kα (λ = 1.5418 Å). Structure: a GGA-PBE-relaxed structure.
Peak positions follow from Bragg's law for the DFT cell and can differ from measured ones.

Peak list (12 most intense, 2θ = 10–90°, by intensity)
two_theta	I_rel
21.18	100.0
29.43	94.5
33.60	76.8
33.12	67.1
26.83	65.0
29.85	63.1
31.04	53.3
13.46	51.0
36.05	40.5
27.41	39.3
44.51	32.7
47.00	31.2

Structural model:
Cell lengths 6.9823, 6.9823, 6.2490 Å; angles 104.61, 104.61, 98.66 degrees
Positions (direct):
Ga1 0.0541 0.2085 0.1642
Ga2 0.2085 0.0541 0.6642
Ga3 0.7915 0.9459 0.3358
Ga4 0.9459 0.7915 0.8358
Hg1 0.3950 0.6050 0.7500
Hg2 0.6050 0.3950 0.2500
As1 0.2951 0.7049 0.2500
As2 0.7049 0.2951 0.7500
O1 0.0615 0.1711 0.4555
O2 0.1458 0.6413 0.9360
O3 0.1711 0.0615 0.9555
O4 0.2802 0.4613 0.2960
O5 0.3587 0.8542 0.5640
O6 0.4613 0.2802 0.7960
O7 0.5387 0.7198 0.2040
O8 0.6413 0.1458 0.4360
O9 0.7198 0.5387 0.7040
O10 0.8289 0.9385 0.0445
O11 0.8542 0.3587 0.0640
O12 0.9385 0.8289 0.5445



This entry pairs a crystal structure of Np4Ga12Ni with its computed PXRD pattern. Radiation: Cu Kα (λ = 1.5418 Å). Structure: a GGA-PBE-relaxed structure.
Peak positions follow from Bragg's law for the DFT cell and can differ from measured ones.

Peak list (12 most intense, 2θ = 10–90°, by intensity)
two_theta	I_rel
36.24	100.0
42.09	56.7
29.42	46.4
61.05	35.5
73.11	34.7
20.69	30.7
47.35	18.6
52.19	17.2
84.43	12.0
76.93	11.3
69.20	11.2
65.19	10.0

Structural model:
Cell lengths 7.4360, 7.4360, 7.4360 Å; angles 109.47, 109.47, 109.47 degrees
Positions (direct):
Np1 0.0000 0.0000 0.5000
Np2 0.0000 0.5000 0.0000
Np3 0.5000 0.0000 0.0000
Np4 0.5000 0.5000 0.5000
Ga1 0.0000 0.2850 0.2850
Ga2 0.0000 0.7150 0.7150
Ga3 0.2500 0.5000 0.7500
Ga4 0.2500 0.7500 0.5000
Ga5 0.2850 0.0000 0.2850
Ga6 0.2850 0.2850 0.0000
Ga7 0.5000 0.2500 0.7500
Ga8 0.5000 0.7500 0.2500
Ga9 0.7150 0.0000 0.7150
Ga10 0.7150 0.7150 0.0000
Ga11 0.7500 0.2500 0.5000
Ga12 0.7500 0.5000 0.2500
Ni1 0.0000 0.0000 0.0000



This entry pairs a crystal structure of ThAlH8Ru2 with its computed PXRD pattern. Radiation: Cu Kα (λ = 1.5418 Å). Structure: a GGA-PBE-relaxed structure.
Peak positions follow from Bragg's law for the DFT cell and can differ from measured ones.

Peak list (12 most intense, 2θ = 10–90°, by intensity)
two_theta	I_rel
31.35	100.0
23.14	75.9
39.48	74.7
35.45	67.9
65.31	25.4
51.26	25.3
66.57	23.5
54.09	19.8
69.00	19.5
46.26	13.7
71.61	12.9
60.88	12.8

Structural model:
Cell lengths 6.0953, 6.0953, 6.0953 Å; angles 43.98, 43.98, 43.98 degrees
Positions (direct):
Th1 0.0000 0.0000 0.0000
Al1 0.5000 0.5000 0.5000
H1 0.1241 0.5503 0.5503
H2 0.3171 0.3171 0.3171
H3 0.4497 0.4497 0.8759
H4 0.4497 0.8759 0.4497
H5 0.5503 0.1241 0.5503
H6 0.5503 0.5503 0.1241
H7 0.6829 0.6829 0.6829
H8 0.8759 0.4497 0.4497
Ru1 0.2167 0.2167 0.2167
Ru2 0.7833 0.7833 0.7833



This entry pairs a crystal structure of Sc5C3 with its computed PXRD pattern. Radiation: Cu Kα (λ = 1.5418 Å). Structure: a GGA-PBE-relaxed structure.
Peak positions follow from Bragg's law for the DFT cell and can differ from measured ones.

Peak list (12 most intense, 2θ = 10–90°, by intensity)
two_theta	I_rel
41.83	100.0
43.61	85.1
35.60	54.2
30.70	46.8
40.33	43.4
46.02	38.8
30.21	33.2
72.32	22.9
63.92	22.4
65.28	22.0
73.33	13.5
71.54	13.1

Structural model:
Cell lengths 6.8318, 6.8318, 5.5753 Å; angles 90.00, 90.00, 120.00 degrees
Positions (direct):
Sc1 0.0000 0.2485 0.2500
Sc2 0.0000 0.7515 0.7500
Sc3 0.2485 0.0000 0.2500
Sc4 0.2485 0.2485 0.7500
Sc5 0.3333 0.6667 0.0000
Sc6 0.3333 0.6667 0.5000
Sc7 0.6667 0.3333 0.0000
Sc8 0.6667 0.3333 0.5000
Sc9 0.7515 0.0000 0.7500
Sc10 0.7515 0.7515 0.2500
C1 0.0000 0.3901 0.7500
C2 0.0000 0.6099 0.2500
C3 0.3901 0.0000 0.7500
C4 0.3901 0.3901 0.2500
C5 0.6099 0.0000 0.2500
C6 0.6099 0.6099 0.7500



This entry pairs a crystal structure of Y4Al16Pt3 with its computed PXRD pattern. Radiation: Cu Kα (λ = 1.5418 Å). Structure: a GGA-PBE-relaxed structure.
Peak positions follow from Bragg's law for the DFT cell and can differ from measured ones.

Peak list (12 most intense, 2θ = 10–90°, by intensity)
two_theta	I_rel
31.52	100.0
21.82	77.1
41.29	61.0
37.79	59.8
28.88	47.3
52.86	44.4
20.31	40.8
43.63	34.7
59.82	21.4
47.18	19.1
15.84	18.7
16.38	17.0

Structural model:
Cell lengths 6.1839, 6.1839, 11.1927 Å; angles 90.00, 90.00, 90.00 degrees
Positions (direct):
Y1 0.0000 0.5000 0.1898
Y2 0.0000 0.5000 0.8102
Y3 0.5000 0.0000 0.1898
Y4 0.5000 0.0000 0.8102
Al1 0.0000 0.0000 0.1977
Al2 0.0000 0.0000 0.8023
Al3 0.2128 0.2128 0.0000
Al4 0.2128 0.7872 0.0000
Al5 0.2453 0.2453 0.3767
Al6 0.2453 0.2453 0.6233
Al7 0.2453 0.7547 0.3767
Al8 0.2453 0.7547 0.6233
Al9 0.5000 0.5000 0.2273
Al10 0.5000 0.5000 0.7727
Al11 0.7547 0.2453 0.3767
Al12 0.7547 0.2453 0.6233
Al13 0.7547 0.7547 0.3767
Al14 0.7547 0.7547 0.6233
Al15 0.7872 0.2128 0.0000
Al16 0.7872 0.7872 0.0000
Pt1 0.0000 0.5000 0.5000
Pt2 0.5000 0.0000 0.5000
Pt3 0.5000 0.5000 0.0000



This entry pairs a crystal structure of SrCd2N with its computed PXRD pattern. Radiation: Cu Kα (λ = 1.5418 Å). Structure: a GGA-PBE-relaxed structure.
Peak positions follow from Bragg's law for the DFT cell and can differ from measured ones.

Peak list (12 most intense, 2θ = 10–90°, by intensity)
two_theta	I_rel
29.49	100.0
38.11	46.9
30.19	34.1
36.62	30.8
42.71	21.3
57.91	19.9
33.86	19.6
49.37	14.3
67.89	13.7
56.00	13.6
56.67	11.6
48.63	9.4

Structural model:
Cell lengths 6.4561, 6.4561, 6.4561 Å; angles 99.16, 99.16, 132.98 degrees
Positions (direct):
Sr1 0.0000 0.0000 0.0000
Sr2 0.7500 0.2500 0.5000
Cd1 0.2190 0.6250 0.0940
Cd2 0.3750 0.4690 0.5940
Cd3 0.5310 0.1250 0.9060
Cd4 0.8750 0.7810 0.4060
N1 0.2500 0.7500 0.5000
N2 0.5000 0.5000 0.0000



This entry pairs a crystal structure of Ta4Nb3Rh2 with its computed PXRD pattern. Radiation: Cu Kα (λ = 1.5418 Å). Structure: a GGA-PBE-relaxed structure.
Peak positions follow from Bragg's law for the DFT cell and can differ from measured ones.

Peak list (12 most intense, 2θ = 10–90°, by intensity)
two_theta	I_rel
40.13	100.0
40.78	64.9
39.81	61.5
36.50	48.8
34.11	45.1
39.03	43.6
32.63	36.0
39.14	33.2
35.87	31.0
37.23	29.8
36.16	25.2
65.40	22.7

Structural model:
Cell lengths 8.0200, 8.0200, 5.1028 Å; angles 98.36, 98.36, 82.58 degrees
Positions (direct):
Ta1 0.1539 0.4999 0.3998
Ta2 0.1617 0.6945 0.9570
Ta3 0.3055 0.8383 0.5430
Ta4 0.4999 0.1539 0.8998
Ta5 0.5001 0.8461 0.1002
Ta6 0.6945 0.1617 0.4570
Ta7 0.8383 0.3055 0.0430
Ta8 0.8461 0.5001 0.6002
Nb1 0.0347 0.1688 0.5164
Nb2 0.1688 0.0347 0.0164
Nb3 0.4945 0.5055 0.7500
Nb4 0.5055 0.4945 0.2500
Nb5 0.8312 0.9653 0.9836
Nb6 0.9653 0.8312 0.4836
Rh1 0.2054 0.3617 0.9107
Rh2 0.3617 0.2054 0.4107
Rh3 0.6383 0.7946 0.5893
Rh4 0.7946 0.6383 0.0893



This entry pairs a crystal structure of CaPm2Pt with its computed PXRD pattern. Radiation: Cu Kα (λ = 1.5418 Å). Structure: a GGA-PBE-relaxed structure.
Peak positions follow from Bragg's law for the DFT cell and can differ from measured ones.

Peak list (12 most intense, 2θ = 10–90°, by intensity)
two_theta	I_rel
30.95	100.0
37.59	69.4
34.95	60.8
36.24	31.7
64.43	30.9
60.21	29.9
45.47	25.9
50.27	21.7
69.51	15.5
51.23	12.1
70.10	12.0
60.43	11.8

Structural model:
Cell lengths 3.6303, 3.6303, 9.5456 Å; angles 90.00, 90.00, 90.00 degrees
Positions (direct):
Ca1 0.0000 0.0000 0.0000
Pm1 0.5000 0.5000 0.3249
Pm2 0.5000 0.5000 0.6751
Pt1 0.0000 0.0000 0.5000



Please write out number 12 again, unchanged.
This entry pairs a crystal structure of CaPm2Pt with its computed PXRD pattern. Radiation: Cu Kα (λ = 1.5418 Å). Structure: a GGA-PBE-relaxed structure.
Peak positions follow from Bragg's law for the DFT cell and can differ from measured ones.

Peak list (12 most intense, 2θ = 10–90°, by intensity)
two_theta	I_rel
30.95	100.0
37.59	69.4
34.95	60.8
36.24	31.7
64.43	30.9
60.21	29.9
45.47	25.9
50.27	21.7
69.51	15.5
51.23	12.1
70.10	12.0
60.43	11.8

Structural model:
Cell lengths 3.6303, 3.6303, 9.5456 Å; angles 90.00, 90.00, 90.00 degrees
Positions (direct):
Ca1 0.0000 0.0000 0.0000
Pm1 0.5000 0.5000 0.3249
Pm2 0.5000 0.5000 0.6751
Pt1 0.0000 0.0000 0.5000